(1)
This entry pairs a crystal structure of Na2PuI5 with its theoretical powder diffraction line list. Radiation: Cu Ka. Structure: the PBE geometry in Alexandria.
Lines closer than 0.1° are merged.

Atomic structure:
a b c (Å): 6.3269 14.8834 15.7752
angles (deg): 90.00 90.00 90.00
Space group Fmmm (No. 69)
Inequivalent atoms, fractional coordinates:
Na  0.0000  0.0000  0.1967 [8 per cell]
Pu  0.0000  0.0000  0.5000 [4 per cell]
I  0.0000  0.0000  0.0000 [4 per cell]
I  0.0000  0.1348  0.3520 [16 per cell]

Main lines, sorted by position (2θ from 10° to 90°):
| two_theta | d/Å | Rel. int. |
| --- | --- | --- |
| 11.89 | 7.442 | 71 |
| 16.23 | 5.462 | 100 |
| 16.38 | 5.413 | 67 |
| 25.56 | 3.485 | 37 |
| 26.49 | 3.365 | 40 |
| 28.21 | 3.163 | 67 |
| 28.47 | 3.135 | 92 |
| 33.10 | 2.706 | 65 |
| 44.03 | 2.057 | 58 |
| 46.53 | 1.952 | 29 |

---

(2)
This entry pairs a crystal structure of LaHg with its theoretical powder diffraction line list. Radiation: Cu Ka. Structure: the PBE geometry in Alexandria.
Lines closer than 0.1° are merged.

Atomic structure:
a b c (Å): 3.9566 3.9566 14.3946
angles (deg): 90.00 90.00 120.00
Space group R-3m (No. 166, hexagonal axes)
Inequivalent atoms, fractional coordinates:
La  0.0000  0.0000  0.0000 [3 per cell]
Hg  0.0000  0.0000  0.5000 [3 per cell]

Main lines, sorted by position (2θ from 10° to 90°):
| two_theta | d/Å | Rel. int. |
| --- | --- | --- |
| 28.86 | 3.094 | 100 |
| 36.20 | 2.482 | 55 |
| 37.49 | 2.399 | 17 |
| 45.87 | 1.978 | 29 |
| 55.10 | 1.667 | 17 |
| 57.88 | 1.593 | 14 |
| 59.78 | 1.547 | 13 |
| 60.67 | 1.526 | 25 |
| 74.43 | 1.275 | 14 |
| 78.49 | 1.219 | 12 |

---

Please write out number 1 again, unchanged.
This entry pairs a crystal structure of Na2PuI5 with its theoretical powder diffraction line list. Radiation: Cu Ka. Structure: the PBE geometry in Alexandria.
Lines closer than 0.1° are merged.

Atomic structure:
a b c (Å): 6.3269 14.8834 15.7752
angles (deg): 90.00 90.00 90.00
Space group Fmmm (No. 69)
Inequivalent atoms, fractional coordinates:
Na  0.0000  0.0000  0.1967 [8 per cell]
Pu  0.0000  0.0000  0.5000 [4 per cell]
I  0.0000  0.0000  0.0000 [4 per cell]
I  0.0000  0.1348  0.3520 [16 per cell]

Main lines, sorted by position (2θ from 10° to 90°):
| two_theta | d/Å | Rel. int. |
| --- | --- | --- |
| 11.89 | 7.442 | 71 |
| 16.23 | 5.462 | 100 |
| 16.38 | 5.413 | 67 |
| 25.56 | 3.485 | 37 |
| 26.49 | 3.365 | 40 |
| 28.21 | 3.163 | 67 |
| 28.47 | 3.135 | 92 |
| 33.10 | 2.706 | 65 |
| 44.03 | 2.057 | 58 |
| 46.53 | 1.952 | 29 |

---

Which formula does entry 1 have?
Na2PuI5